Starting from a PBE-relaxed structure, the PXRD pattern of Sm10HoSc6 was simulated for Cu Kα.

Principal peaks in the range 10° ≤ 2θ ≤ 90°, low angle first:
2θ 22.98, intensity 20, hkl 2 -1 1; 2θ 25.44, intensity 6, hkl 2 0 1; 2θ 28.77, intensity 6, hkl 2 1 0; 2θ 31.77, intensity 17, hkl 3 -1 1; 2θ 32.72, intensity 100, hkl 1 1 2; 2θ 46.95, intensity 16, hkl 4 -2 2; 2θ 50.30, intensity 8, hkl 3 2 1; 2θ 58.40, intensity 26, hkl 2 -1 4; 2θ 61.32, intensity 7, hkl 4 0 3; 2θ 64.70, intensity 7, hkl 6 -1 1; 2θ 68.58, intensity 6, hkl 2 2 4; 2θ 78.07, intensity 10, hkl 5 -1 4

Structure:
```
Sm10HoSc6
1.0
9.484 0.000 0.000
-4.742 8.214 0.000
0.000 0.000 6.700
Sm Ho Sc
10 1 6
Direct
0.000 0.282 0.322
0.000 0.718 0.678
0.282 0.000 0.322
0.282 0.282 0.678
0.333 0.667 0.000
0.333 0.667 0.500
0.667 0.333 0.000
0.667 0.333 0.500
0.718 0.000 0.678
0.718 0.718 0.322
0.000 0.000 0.000
0.000 0.360 0.828
0.000 0.640 0.172
0.360 0.000 0.828
0.360 0.360 0.172
0.640 0.000 0.172
0.640 0.640 0.828
```